Simulated X-ray powder pattern of LiVFeO4 for Cu Kα (weighted mean of Kα1 and Kα2), from the GGA+U geometry in the Materials Project.
Peak positions follow from Bragg's law for the DFT cell and can differ from measured ones.

Top 8 peaks for 15 to 90 degrees two-theta, in order of falling intensity:
- 2θ 35.0, 2.564 Å, intensity 100, hkl 1 1 -2
- 2θ 30.0, 2.982 Å, intensity 91, hkl 0 2 0
- 2θ 35.4, 2.535 Å, intensity 56, hkl 3 1 0
- 2θ 62.2, 1.492 Å, intensity 52, hkl 2 2 2
- 2θ 18.1, 4.902 Å, intensity 37, hkl 0 0 1
- 2θ 21.2, 4.200 Å, intensity 30, hkl 2 0 0
- 2θ 35.3, 2.545 Å, intensity 25, hkl 0 2 1
- 2θ 56.5, 1.628 Å, intensity 21, hkl 1 3 -2

Structural model:
```
data_LiVFeO4
_cell_length_a 10.3374
_cell_length_b 5.9589
_cell_length_c 6.0364
_cell_angle_alpha 90.00
_cell_angle_beta 125.65
_cell_angle_gamma 90.00
_symmetry_space_group_name_H-M 'C 1 2/m 1'
_symmetry_Int_Tables_number 12
loop_
_symmetry_equiv_pos_as_xyz
'x,y,z'
'-x,-y,-z'
'-x,y,-z'
'x,-y,z'
'x+1/2,y+1/2,z'
'-x+1/2,-y+1/2,-z'
'-x+1/2,y+1/2,-z'
'x+1/2,-y+1/2,z'
loop_
_atom_site_label
_atom_site_fract_x
_atom_site_fract_y
_atom_site_fract_z
_atom_site_occupancy
Li1 0.2500 0.2500 0.0000 1
V1 0.1251 0.0000 0.3751 1
Fe1 0.0000 0.5000 0.0000 1
Fe2 0.0000 0.5000 0.5000 1
O1 0.0033 0.2458 0.2527 1
O2 0.2440 0.0000 0.7287 1
O3 0.2453 0.0000 0.2610 1
```